CsK2Mn3P4ClO14: simulated powder XRD pattern (λ = 1.5418 Å (Cu Kα)), based on a structure optimized by DFT (PBE+U).

Peak list (8 most intense, 2θ from 10° to 90°, low angle first)
- 11.6 deg, d = 7.620 Å, intensity 32, hkl 1 0 0
- 25.8 deg, d = 3.459 Å, intensity 30, hkl 1 1 3
- 26.8 deg, d = 3.328 Å, intensity 18, hkl 2 0 2
- 28.2 deg, d = 3.161 Å, intensity 100, hkl 2 1 -1
- 28.6 deg, d = 3.117 Å, intensity 51, hkl 0 1 5
- 29.3 deg, d = 3.053 Å, intensity 48, hkl 1 1 -5
- 32.9 deg, d = 2.722 Å, intensity 34, hkl 0 2 0
- 33.2 deg, d = 2.695 Å, intensity 27, hkl 2 0 -6

Cell and atoms:
a b c (Å): 7.757 5.445 19.345
angles (deg): 90.00 100.76 90.00
Space group P2/c (No. 13)
Asymmetric unit:
Cs 0.000 0.201 0.250
K 0.417 0.224 0.085
Mn 0.107 0.210 0.459
Mn 0.500 0.282 0.750
P 0.097 0.312 0.625
P 0.285 0.284 0.899
Cl 0.500 0.218 0.250
O 0.089 0.279 0.847
O 0.091 0.123 0.564
O 0.100 0.423 0.098
O 0.233 0.256 0.690
O 0.287 0.495 0.448
O 0.298 0.040 0.940
O 0.416 0.303 0.850